# 1
For Rb3Nb6SBr17, a structure optimized by DFT (GGA-PBE) gives the theoretical powder diffraction line list in this record (Cu Kα X-rays).
Kinematic intensities with the Lorentz-polarization factor, no thermal factor.

Peak list (12 most intense, 10 to 90 degrees two-theta, most intense first)
| 2θ/deg | I (rel.) |
| --- | --- |
| 31.82 | 1000 |
| 30.90 | 983 |
| 30.36 | 912 |
| 11.55 | 503 |
| 49.11 | 436 |
| 40.43 | 398 |
| 38.05 | 395 |
| 39.09 | 357 |
| 27.04 | 325 |
| 11.36 | 235 |
| 49.52 | 230 |
| 50.25 | 175 |

Structure:
```
54
Lattice="8.901 -9.664 0.000 8.901 9.664 0.000 -0.227 0.000 9.567" Properties=species:S:1:pos:R:3 pbc="T T T"
Rb 8.731 8.809 7.175
Rb 4.776 1.030 7.961
Rb 4.889 -1.030 3.177
Rb 12.686 1.030 6.390
Rb 12.800 -1.030 1.607
Rb 8.845 -8.809 2.392
Nb 7.545 6.024 3.410
Nb 6.626 3.416 2.277
Nb 10.144 6.024 1.373
Nb 8.503 3.485 4.601
Nb 9.187 3.485 0.183
Nb 11.064 3.416 2.507
Nb 6.512 -3.416 7.060
Nb 8.389 -3.485 9.384
Nb 9.073 -3.485 4.967
Nb 7.432 -6.024 8.194
Nb 10.950 -3.416 7.291
Nb 10.030 -6.024 6.157
S 8.845 4.301 2.392
S 8.731 -4.301 7.175
Br 5.046 5.359 3.028
Br 7.741 7.250 0.994
Br 2.156 1.199 5.375
Br 4.337 2.109 1.580
Br 7.354 5.422 5.932
Br 6.444 4.338 9.315
Br 9.948 7.250 3.789
Br 2.270 -1.199 0.591
Br 6.236 2.162 4.564
Br 10.109 5.422 8.418
Br 4.223 -2.109 6.363
Br 7.832 1.314 1.052
Br 8.731 2.277 7.175
Br 11.018 4.338 5.036
Br 12.643 5.359 1.756
Br 6.123 -2.162 9.348
Br 9.857 1.314 3.731
Br 7.718 -1.314 5.836
Br 11.453 2.162 0.219
Br 4.933 -5.359 7.812
Br 6.558 -4.338 4.531
Br 8.845 -2.277 2.392
Br 9.744 -1.314 8.515
Br 13.352 2.109 3.204
Br 7.467 -5.422 1.149
Br 11.339 -2.162 5.003
Br 15.306 1.199 8.976
Br 7.628 -7.250 5.778
Br 11.131 -4.338 0.252
Br 10.222 -5.422 3.635
Br 13.239 -2.109 7.988
Br 15.419 -1.199 4.192
Br 9.834 -7.250 8.573
Br 12.530 -5.359 6.539
```


# 2
For ReI4, a structure optimized by DFT (GGA-PBE) gives the theoretical powder diffraction line list in this record (Cu Kα X-rays).
Kinematic intensities with the Lorentz-polarization factor, no thermal factor.

Peak list (12 most intense, 10 to 90 degrees two-theta, most intense first)
| 2θ/deg | I (rel.) |
| --- | --- |
| 11.04 | 1000 |
| 29.82 | 773 |
| 29.96 | 743 |
| 30.84 | 724 |
| 43.53 | 562 |
| 15.31 | 495 |
| 42.78 | 494 |
| 25.72 | 454 |
| 26.44 | 439 |
| 16.71 | 392 |
| 42.50 | 258 |
| 52.87 | 240 |

Structure:
```
20
Lattice="5.998 -5.964 0.000 5.998 5.964 0.000 -5.530 0.000 11.597" Properties=species:S:1:pos:R:3 pbc="T T T"
Re 0.361 4.457 10.156
Re 3.339 4.457 7.240
Re 3.126 -4.457 4.357
Re 6.104 -4.457 1.441
I -0.058 1.374 4.176
I 3.155 4.649 4.511
I 6.075 4.649 1.288
I 2.747 1.458 1.575
I -2.823 -1.374 9.974
I 0.496 1.824 10.295
I 3.205 1.824 7.100
I -0.018 -1.458 7.373
I 6.483 1.458 4.224
I 3.261 -1.824 4.497
I 5.969 -1.824 1.302
I 9.288 1.374 1.623
I 3.718 -1.458 10.022
I 0.390 -4.649 10.309
I 3.310 -4.649 7.087
I 6.523 -1.374 7.421
```


# 3
For CsKCd4, a structure optimized by DFT (GGA-PBE) gives the theoretical powder diffraction line list in this record (Cu Kα X-rays).
Kinematic intensities with the Lorentz-polarization factor, no thermal factor.

Peak list (12 most intense, 10 to 90 degrees two-theta, most intense first)
| 2θ/deg | I (rel.) |
| --- | --- |
| 27.88 | 1000 |
| 28.20 | 991 |
| 34.33 | 872 |
| 32.37 | 768 |
| 33.46 | 666 |
| 47.24 | 519 |
| 54.42 | 463 |
| 14.16 | 439 |
| 28.54 | 360 |
| 40.23 | 310 |
| 40.63 | 308 |
| 59.40 | 237 |

Structure:
```
6
Lattice="-2.678 4.361 4.488 2.678 -4.361 4.488 2.678 4.361 -4.488" Properties=species:S:1:pos:R:3 pbc="T T T"
Cs 0.000 0.000 0.000
K 2.678 0.000 3.406
Cd 2.678 2.827 0.872
Cd 0.000 2.783 2.421
Cd 0.000 1.534 5.360
Cd 0.000 5.940 2.421
```


# 4
For YEr2Lu4Ni2Te2, a structure optimized by DFT (GGA-PBE) gives the theoretical powder diffraction line list in this record (Cu Kα X-rays).
Kinematic intensities with the Lorentz-polarization factor, no thermal factor.

Peak list (12 most intense, 10 to 90 degrees two-theta, most intense first)
| 2θ/deg | I (rel.) |
| --- | --- |
| 34.53 | 1000 |
| 35.04 | 876 |
| 33.52 | 844 |
| 30.72 | 623 |
| 59.58 | 326 |
| 47.73 | 298 |
| 25.21 | 279 |
| 39.00 | 209 |
| 37.12 | 193 |
| 66.44 | 188 |
| 29.23 | 181 |
| 45.70 | 170 |

Structure:
```
11
Lattice="-1.906 7.666 4.705 1.906 -7.666 4.705 1.906 7.666 -4.705" Properties=species:S:1:pos:R:3 pbc="T T T"
Y 0.000 0.000 0.000
Er 0.000 5.398 2.526
Er 0.000 9.935 2.526
Lu 1.906 5.620 -0.779
Lu 1.906 2.841 1.135
Lu 0.000 2.046 3.926
Lu 0.000 4.825 5.840
Ni 1.906 -4.002 4.034
Ni 1.906 4.002 4.034
Te 1.906 0.000 2.504
Te 0.000 0.000 6.229
```


# 5
For DyLu2Cu4Si4, a structure optimized by DFT (GGA-PBE) gives the theoretical powder diffraction line list in this record (Cu Kα X-rays).
Kinematic intensities with the Lorentz-polarization factor, no thermal factor.

Peak list (12 most intense, 10 to 90 degrees two-theta, most intense first)
| 2θ/deg | I (rel.) |
| --- | --- |
| 35.96 | 1000 |
| 37.26 | 820 |
| 46.43 | 277 |
| 44.54 | 268 |
| 66.33 | 261 |
| 24.03 | 236 |
| 22.83 | 181 |
| 40.06 | 168 |
| 29.06 | 167 |
| 40.76 | 158 |
| 60.21 | 142 |
| 79.42 | 130 |

Structure:
```
11
Lattice="-2.034 3.257 6.753 2.034 -3.257 6.753 2.034 3.257 -6.753" Properties=species:S:1:pos:R:3 pbc="T T T"
Dy 0.000 0.000 0.000
Lu 2.034 0.000 5.019
Lu 0.000 3.257 1.735
Cu 2.034 1.255 -2.294
Cu 2.034 1.255 2.294
Cu 0.000 2.002 4.459
Cu 0.000 2.002 9.048
Si 0.000 0.000 2.932
Si 2.034 2.056 0.000
Si 0.000 1.201 6.753
Si 0.000 0.000 10.575
```


# 6
For Tm2Ga8Pt, a structure optimized by DFT (GGA-PBE) gives the theoretical powder diffraction line list in this record (Cu Kα X-rays).
Kinematic intensities with the Lorentz-polarization factor, no thermal factor.

Peak list (12 most intense, 10 to 90 degrees two-theta, most intense first)
| 2θ/deg | I (rel.) |
| --- | --- |
| 38.31 | 1000 |
| 41.84 | 490 |
| 20.57 | 350 |
| 74.06 | 283 |
| 31.96 | 222 |
| 60.66 | 161 |
| 33.54 | 127 |
| 66.80 | 113 |
| 53.60 | 107 |
| 59.93 | 95 |
| 44.24 | 93 |
| 47.06 | 83 |

Structure:
```
11
Lattice="4.318 0.000 0.000 0.000 4.318 0.000 0.000 0.000 11.038" Properties=species:S:1:pos:R:3 pbc="T T T"
Tm 0.000 0.000 2.088
Tm 0.000 0.000 8.950
Ga 0.000 2.159 0.000
Ga 0.000 2.159 4.100
Ga 0.000 2.159 6.938
Ga 2.159 0.000 0.000
Ga 2.159 0.000 4.100
Ga 2.159 0.000 6.938
Ga 2.159 2.159 2.134
Ga 2.159 2.159 8.904
Pt 0.000 0.000 5.519
```


# 7
For ErLuAg2Pb2, a structure optimized by DFT (GGA-PBE) gives the theoretical powder diffraction line list in this record (Cu Kα X-rays).
Kinematic intensities with the Lorentz-polarization factor, no thermal factor.

Peak list (12 most intense, 10 to 90 degrees two-theta, most intense first)
| 2θ/deg | I (rel.) |
| --- | --- |
| 32.44 | 1000 |
| 37.61 | 882 |
| 50.49 | 291 |
| 64.63 | 278 |
| 24.62 | 277 |
| 42.65 | 268 |
| 67.87 | 170 |
| 63.56 | 152 |
| 89.27 | 152 |
| 71.34 | 118 |
| 80.28 | 117 |
| 58.14 | 107 |

Structure:
```
6
Lattice="4.784 0.000 0.000 -2.392 4.143 0.000 0.000 0.000 7.403" Properties=species:S:1:pos:R:3 pbc="T T T"
Er 0.000 0.000 0.000
Lu 0.000 0.000 3.703
Ag 0.000 2.762 5.022
Ag 2.392 1.381 1.323
Pb 0.000 2.762 2.056
Pb 2.392 1.381 5.754
```


# 8
For ErSi2Tc4, a structure optimized by DFT (GGA-PBE) gives the theoretical powder diffraction line list in this record (Cu Kα X-rays).
Kinematic intensities with the Lorentz-polarization factor, no thermal factor.

Peak list (12 most intense, 10 to 90 degrees two-theta, most intense first)
| 2θ/deg | I (rel.) |
| --- | --- |
| 36.86 | 1000 |
| 44.47 | 207 |
| 44.80 | 203 |
| 45.50 | 139 |
| 12.78 | 133 |
| 64.96 | 131 |
| 34.08 | 121 |
| 76.86 | 113 |
| 77.34 | 112 |
| 56.48 | 103 |
| 39.01 | 102 |
| 22.75 | 92 |

Structure:
```
7
Lattice="2.037 -6.926 0.000 2.037 6.926 0.000 0.000 0.000 4.046" Properties=species:S:1:pos:R:3 pbc="T T T"
Er 0.000 0.000 0.000
Si 2.037 1.202 2.023
Si 2.037 -1.202 2.023
Tc 2.037 4.340 2.023
Tc 2.037 2.679 0.000
Tc 2.037 -2.679 0.000
Tc 2.037 -4.340 2.023
```


# 9
For BaHoAgTeS2, a structure optimized by DFT (GGA-PBE) gives the theoretical powder diffraction line list in this record (Cu Kα X-rays).
Kinematic intensities with the Lorentz-polarization factor, no thermal factor.

Peak list (12 most intense, 10 to 90 degrees two-theta, most intense first)
| 2θ/deg | I (rel.) |
| --- | --- |
| 32.32 | 1000 |
| 11.81 | 411 |
| 29.04 | 390 |
| 40.50 | 255 |
| 50.70 | 176 |
| 43.39 | 154 |
| 16.02 | 136 |
| 19.95 | 132 |
| 55.15 | 119 |
| 50.09 | 117 |
| 36.90 | 112 |
| 57.67 | 110 |

Structure:
```
12
Lattice="2.085 -7.493 0.000 2.085 7.493 0.000 0.000 0.000 11.068" Properties=species:S:1:pos:R:3 pbc="T T T"
Ba 2.085 4.306 8.301
Ba 2.085 -4.306 2.767
Ho 0.000 0.000 0.000
Ho 0.000 0.000 5.534
Ag 2.085 0.250 2.767
Ag 2.085 -0.250 8.301
Te 2.085 5.942 2.767
Te 2.085 -5.942 8.301
S 2.085 1.732 0.714
S 2.085 1.732 4.820
S 2.085 -1.732 6.248
S 2.085 -1.732 10.354
```